[1]
The following is a computed powder diffractogram of HoSc2Pd6. It was derived from DFT lattice parameters and positions (PBE), using copper Kα.
Kinematic intensities with the Lorentz-polarization factor, no thermal factor.

Cell and atoms:
Cell lengths 4.6511, 7.6351, 9.5084 Å; angles 90.00, 90.00, 90.00 degrees
Space group Immm (No. 71)
Unique sites:
Ho1 0.0000 0.0000 0.0000 x2
Sc1 0.0000 0.0000 0.3353 x4
Pd1 0.0000 0.2845 0.5000 x4
Pd2 0.0000 0.3030 0.1744 x8

The 10 most intense peaks (15° ≤ 2θ ≤ 90°), low angle first:
2θ = 23.3°, rel. 16, (0 2 0)
2θ = 30.5°, rel. 37, (0 1 3)
2θ = 34.2°, rel. 22, (1 0 3)
2θ = 38.7°, rel. 41, (2 0 0)
2θ = 40.4°, rel. 50, (1 3 0)
2θ = 41.8°, rel. 100, (1 2 3)
2θ = 50.1°, rel. 18, (2 1 3)
2θ = 72.2°, rel. 31, (2 0 6)
2θ = 73.2°, rel. 16, (1 3 6)
2θ = 81.2°, rel. 17, (2 5 3)

[2]
The following is a computed powder diffractogram of HoScPd. It was derived from DFT lattice parameters and positions (PBE), using copper Kα.
Kinematic intensities with the Lorentz-polarization factor, no thermal factor.

Cell and atoms:
Cell lengths 4.7380, 12.2587, 7.0917 Å; angles 90.00, 90.00, 90.00 degrees
Space group Amm2 (No. 38)
Unique sites:
Ho1 0.0000 0.0000 0.0000 x2
Ho2 0.0000 0.2040 0.6113 x4
Sc1 0.5000 0.0000 0.6664 x2
Sc2 0.5000 0.1296 0.2784 x4
Pd1 0.0000 0.0000 0.4073 x2
Pd2 0.5000 0.1665 0.9080 x4

The 10 most intense peaks (15° ≤ 2θ ≤ 90°), low angle first:
2θ = 25.1°, rel. 21, (0 0 2)
2θ = 31.5°, rel. 100, (1 3 1)
2θ = 34.8°, rel. 94, (1 4 0)
2θ = 38.0°, rel. 36, (2 0 0)
2θ = 38.8°, rel. 23, (0 1 3)
2θ = 43.4°, rel. 21, (1 4 2)
2θ = 44.3°, rel. 28, (0 3 3)
2θ = 57.5°, rel. 19, (1 2 4)
2θ = 59.7°, rel. 23, (2 3 3)
2θ = 67.8°, rel. 15, (2 7 1)

[3]
The following is a computed powder diffractogram of HoScTlPd. It was derived from DFT lattice parameters and positions (PBE), using copper Kα.
Kinematic intensities with the Lorentz-polarization factor, no thermal factor.

Cell and atoms:
Cell lengths 3.4868, 3.4868, 7.3652 Å; angles 90.00, 90.00, 90.00 degrees
Space group P4mm (No. 99)
Unique sites:
Ho1 0.0000 0.0000 0.0000 x1
Sc1 0.0000 0.0000 0.5566 x1
Tl1 0.5000 0.5000 0.2976 x1
Pd1 0.5000 0.5000 0.7512 x1

The 10 most intense peaks (15° ≤ 2θ ≤ 90°), low angle first:
2θ = 28.3°, rel. 30, (1 0 1)
2θ = 35.5°, rel. 100, (1 0 2)
2θ = 36.4°, rel. 51, (1 1 0)
2θ = 36.6°, rel. 9, (0 0 3)
2θ = 52.5°, rel. 18, (2 0 0)
2θ = 52.6°, rel. 12, (1 1 3)
2θ = 63.0°, rel. 14, (1 1 4)
2θ = 64.9°, rel. 34, (2 1 2)
2θ = 75.0°, rel. 9, (2 0 4)
2θ = 88.7°, rel. 11, (3 1 0)

[4]
The following is a computed powder diffractogram of HoTmScPd. It was derived from DFT lattice parameters and positions (PBE), using copper Kα.
Kinematic intensities with the Lorentz-polarization factor, no thermal factor.

Cell and atoms:
Cell lengths 7.2348, 7.2348, 7.2348 Å; angles 90.00, 90.00, 90.00 degrees
Space group F-43m (No. 216)
Unique sites:
Ho1 0.0000 0.0000 0.0000 x4
Tm1 0.0000 0.0000 0.5000 x4
Sc1 0.2500 0.2500 0.7500 x4
Pd1 0.2500 0.2500 0.2500 x4

The 10 most intense peaks (15° ≤ 2θ ≤ 90°), low angle first:
2θ = 21.3°, rel. 4, (1 1 1)
2θ = 24.6°, rel. 16, (2 0 0)
2θ = 35.1°, rel. 100, (2 2 0)
2θ = 43.3°, rel. 5, (2 2 2)
2θ = 50.5°, rel. 18, (4 0 0)
2θ = 56.9°, rel. 7, (4 2 0)
2θ = 62.9°, rel. 36, (4 2 2)
2θ = 74.1°, rel. 11, (4 4 0)
2θ = 79.5°, rel. 4, (6 0 0)
2θ = 84.7°, rel. 16, (6 2 0)

[5]
The following is a computed powder diffractogram of Ho2Pd4Se5. It was derived from DFT lattice parameters and positions (PBE), using copper Kα.
Kinematic intensities with the Lorentz-polarization factor, no thermal factor.

Cell and atoms:
Cell lengths 4.1574, 4.1574, 49.4844 Å; angles 90.00, 90.00, 120.00 degrees
Space group R-3m (No. 166, hexagonal axes)
Unique sites:
Ho1 0.0000 0.0000 0.1296 x6
Pd1 0.0000 0.0000 0.3165 x6
Pd2 0.0000 0.0000 0.4208 x6
Se1 0.0000 0.0000 0.2330 x6
Se2 0.0000 0.0000 0.3685 x6
Se3 0.0000 0.0000 0.5000 x3

The 10 most intense peaks (15° ≤ 2θ ≤ 90°), low angle first:
2θ = 16.1°, rel. 33, (0 0 9)
2θ = 24.8°, rel. 18, (1 0 1)
2θ = 25.8°, rel. 41, (1 0 4)
2θ = 28.7°, rel. 20, (0 1 8)
2θ = 31.8°, rel. 95, (0 1 11)
2θ = 38.4°, rel. 45, (1 0 16)
2θ = 43.5°, rel. 100, (1 1 0)
2θ = 44.4°, rel. 33, (0 1 20)
2θ = 47.7°, rel. 29, (1 0 22)
2θ = 54.9°, rel. 20, (2 0 11)

[6]
The following is a computed powder diffractogram of HoSi4Pd4. It was derived from DFT lattice parameters and positions (PBE), using copper Kα.
Kinematic intensities with the Lorentz-polarization factor, no thermal factor.

Cell and atoms:
Cell lengths 6.0232, 6.0232, 8.1980 Å; angles 90.00, 90.00, 90.00 degrees
Space group P4_2/nmc (No. 137, origin choice 2)
Unique sites:
Ho1 0.2500 0.7500 0.2500 x2
Si1 0.0471 0.2500 0.0693 x8
Pd1 0.0174 0.2500 0.3672 x8

The 10 most intense peaks (15° ≤ 2θ ≤ 90°), low angle first:
2θ = 26.3°, rel. 27, (1 0 2)
2θ = 30.3°, rel. 18, (1 1 2)
2θ = 31.7°, rel. 18, (2 0 1)
2θ = 35.1°, rel. 100, (2 1 1)
2θ = 36.1°, rel. 35, (1 0 3)
2θ = 44.8°, rel. 26, (2 0 3)
2θ = 56.2°, rel. 14, (3 2 1)
2θ = 56.9°, rel. 17, (3 0 3)
2θ = 61.6°, rel. 15, (4 0 0)
2θ = 62.9°, rel. 24, (2 2 4)

[7]
The following is a computed powder diffractogram of HoSi2Pd7. It was derived from DFT lattice parameters and positions (PBE), using copper Kα.
Kinematic intensities with the Lorentz-polarization factor, no thermal factor.

Cell and atoms:
Cell lengths 4.0378, 4.0378, 20.1010 Å; angles 90.00, 90.00, 90.00 degrees
Space group I4/mmm (No. 139)
Unique sites:
Ho1 0.0000 0.0000 0.0000 x2
Si1 0.0000 0.0000 0.3247 x4
Pd1 0.0000 0.0000 0.5000 x2
Pd2 0.0000 0.5000 0.1074 x8
Pd3 0.0000 0.5000 0.2500 x4

The 10 most intense peaks (15° ≤ 2θ ≤ 90°), low angle first:
2θ = 31.3°, rel. 17, (1 1 0)
2θ = 32.6°, rel. 39, (1 1 2)
2θ = 35.7°, rel. 30, (0 0 8)
2θ = 36.2°, rel. 42, (1 1 4)
2θ = 41.6°, rel. 100, (1 1 6)
2θ = 44.9°, rel. 58, (2 0 0)
2θ = 58.7°, rel. 28, (2 0 8)
2θ = 65.4°, rel. 19, (2 2 0)
2θ = 73.9°, rel. 20, (1 1 14)
2θ = 80.5°, rel. 28, (3 1 6)

[8]
The following is a computed powder diffractogram of Ho3Si2Pd6. It was derived from DFT lattice parameters and positions (PBE), using copper Kα.
Kinematic intensities with the Lorentz-polarization factor, no thermal factor.

Cell and atoms:
Cell lengths 9.3430, 9.3430, 9.3430 Å; angles 90.00, 90.00, 90.00 degrees
Space group Im-3m (No. 229)
Unique sites:
Ho1 0.0000 0.0000 0.2871 x12
Si1 0.2500 0.2500 0.2500 x8
Pd1 0.0000 0.3227 0.3227 x24

The 10 most intense peaks (15° ≤ 2θ ≤ 90°), low angle first:
2θ = 27.0°, rel. 19, (2 2 0)
2θ = 30.3°, rel. 28, (3 1 0)
2θ = 36.0°, rel. 33, (3 2 1)
2θ = 38.5°, rel. 20, (4 0 0)
2θ = 41.0°, rel. 100, (3 3 0)
2θ = 57.5°, rel. 12, (4 3 3)
2θ = 59.4°, rel. 12, (6 0 0)
2θ = 61.1°, rel. 20, (5 3 2)
2θ = 66.4°, rel. 13, (6 2 2)
2θ = 74.7°, rel. 20, (6 3 3)

[9]
The following is a computed powder diffractogram of Ho2Si4Pd3. It was derived from DFT lattice parameters and positions (PBE), using copper Kα.
Kinematic intensities with the Lorentz-polarization factor, no thermal factor.

Cell and atoms:
Cell lengths 5.6158, 14.8455, 7.2873 Å; angles 90.00, 90.00, 90.00 degrees
Space group Cmce (No. 64)
Unique sites:
Ho1 0.0000 0.1048 0.0939 x8
Si1 0.0000 0.1777 0.4771 x8
Si2 0.2500 0.0627 0.7500 x8
Pd1 0.0000 0.0000 0.5000 x4
Pd2 0.2500 0.2285 0.7500 x8

The 10 most intense peaks (15° ≤ 2θ ≤ 90°), low angle first:
2θ = 27.0°, rel. 27, (1 3 1)
2θ = 27.3°, rel. 30, (0 2 2)
2θ = 34.1°, rel. 23, (2 2 0)
2θ = 34.5°, rel. 42, (1 3 2)
2θ = 36.4°, rel. 100, (1 5 1)
2θ = 39.0°, rel. 28, (0 2 3)
2θ = 40.3°, rel. 20, (2 4 0)
2θ = 40.6°, rel. 43, (2 0 2)
2θ = 59.8°, rel. 20, (3 5 1)
2θ = 63.0°, rel. 23, (0 8 3)

[10]
The following is a computed powder diffractogram of Ho2Si4Pd5. It was derived from DFT lattice parameters and positions (PBE), using copper Kα.
Kinematic intensities with the Lorentz-polarization factor, no thermal factor.

Cell and atoms:
Cell lengths 5.6821, 9.6009, 14.1588 Å; angles 90.00, 90.00, 90.00 degrees
Space group Fmmm (No. 69)
Unique sites:
Ho1 0.0000 0.0000 0.1418 x8
Si1 0.0000 0.1352 0.3615 x16
Pd1 0.0000 0.0000 0.5000 x4
Pd2 0.2500 0.2500 0.0000 x8
Pd3 0.2500 0.2500 0.2500 x8

The 10 most intense peaks (15° ≤ 2θ ≤ 90°), low angle first:
2θ = 26.2°, rel. 68, (1 1 3)
2θ = 31.4°, rel. 74, (0 2 4)
2θ = 36.8°, rel. 100, (2 2 0)
2θ = 37.5°, rel. 91, (0 4 0)
2θ = 40.7°, rel. 51, (2 0 4)
2θ = 51.6°, rel. 17, (0 0 8)
2θ = 54.0°, rel. 24, (1 5 3)
2θ = 56.5°, rel. 20, (2 4 4)
2θ = 65.1°, rel. 26, (2 2 8)
2θ = 67.1°, rel. 18, (2 6 0)

[11]
The following is a computed powder diffractogram of Ho2Si3Pd2. It was derived from DFT lattice parameters and positions (PBE), using copper Kα.
Kinematic intensities with the Lorentz-polarization factor, no thermal factor.

Cell and atoms:
Cell lengths 4.1359, 17.7086, 6.8963 Å; angles 90.00, 90.00, 90.00 degrees
Space group Cmcm (No. 63)
Unique sites:
Ho1 0.0000 0.0545 0.2500 x4
Ho2 0.0000 0.1541 0.7500 x4
Si1 0.0000 0.2244 0.2500 x4
Si2 0.0000 0.4403 0.0729 x8
Pd1 0.0000 0.3086 0.5482 x8

The 10 most intense peaks (15° ≤ 2θ ≤ 90°), low angle first:
2θ = 23.9°, rel. 24, (0 4 1)
2θ = 29.4°, rel. 19, (1 3 1)
2θ = 33.0°, rel. 35, (0 6 1)
2θ = 34.2°, rel. 92, (1 1 2)
2θ = 35.8°, rel. 100, (1 5 1)
2θ = 37.2°, rel. 33, (1 3 2)
2θ = 43.8°, rel. 38, (2 0 0)
2θ = 44.4°, rel. 42, (0 4 3)
2θ = 58.6°, rel. 19, (0 10 2)
2θ = 64.1°, rel. 28, (2 4 3)

[12]
The following is a computed powder diffractogram of HoSi3Pd10. It was derived from DFT lattice parameters and positions (PBE), using copper Kα.
Kinematic intensities with the Lorentz-polarization factor, no thermal factor.

Cell and atoms:
Cell lengths 12.2356, 12.2356, 12.2356 Å; angles 90.00, 90.00, 90.00 degrees
Space group Fm-3m (No. 225)
Unique sites:
Ho1 0.2500 0.2500 0.2500 x8
Si1 0.0000 0.0000 0.2344 x24
Pd1 0.0000 0.1720 0.3280 x48
Pd2 0.1165 0.1165 0.1165 x32

The 10 most intense peaks (15° ≤ 2θ ≤ 90°), low angle first:
2θ = 32.7°, rel. 54, (4 2 0)
2θ = 36.0°, rel. 30, (4 2 2)
2θ = 38.2°, rel. 100, (3 3 3)
2θ = 41.8°, rel. 33, (4 4 0)
2θ = 43.8°, rel. 50, (5 3 1)
2θ = 49.4°, rel. 25, (6 2 2)
2θ = 62.6°, rel. 17, (6 4 4)
2θ = 64.6°, rel. 31, (6 6 0)
2θ = 70.1°, rel. 14, (9 1 1)
2θ = 76.2°, rel. 23, (8 4 4)

What is the formula in the fourth record?
HoTmScPd

Number 12 is which compound?
HoSi3Pd10